[1]
Starting from a DFT-relaxed cell (GGA-PBE, the Materials Project), the XRD peak list of BaNa3PCO7 was simulated for Cu Kα X-rays.

Structure:
```
data_BaNa3PCO7
_chemical_formula_sum 'Ba2 Na6 P2 C2 O14'
_symmetry_space_group_name_H-M 'P 1 21/m 1'
_symmetry_Int_Tables_number 11
_cell_length_a 5.3898
_cell_length_b 7.6467
_cell_length_c 9.7065
_cell_angle_alpha 90.00
_cell_angle_beta 90.33
_cell_angle_gamma 90.00
loop_
_symmetry_equiv_pos_as_xyz
'x,y,z'
'-x,-y,-z'
'-x,y+1/2,-z'
'x,-y+1/2,z'
loop_
_atom_site_label
_atom_site_type_symbol
_atom_site_fract_x
_atom_site_fract_y
_atom_site_fract_z
Ba1 Ba 0.2399 0.2500 0.3747
Na1 Na 0.2375 0.0233 0.7535
Na2 Na 0.2437 0.7500 0.0815
P1 P 0.2950 0.7500 0.3926
C1 C 0.2663 0.2500 0.0466
O1 O 0.0475 0.2500 0.1043
O2 O 0.1810 0.5861 0.3209
O3 O 0.2478 0.7500 0.5525
O4 O 0.2842 0.2500 0.9131
O5 O 0.4182 0.2500 0.6273
O6 O 0.4694 0.2500 0.1216
```

Peak list (10 most intense, 10° ≤ 2θ ≤ 90°, sorted by position)
Position (°2θ), d (Å), intensity
18.8, 4.713, 56
20.2, 4.405, 49
23.3, 3.823, 100
24.6, 3.617, 44
30.1, 2.973, 61
30.1, 2.966, 36
33.2, 2.695, 51
40.0, 2.257, 38
40.1, 2.247, 34
44.2, 2.049, 46



[2]
Starting from a DFT-relaxed cell (GGA-PBE, the Materials Project), the XRD peak list of Th2Fe17H3 was simulated for Cu Kα X-rays.

Structure:
```
data_Th2Fe17H3
_chemical_formula_sum 'Th6 Fe51 H9'
_symmetry_space_group_name_H-M 'R -3 m'
_symmetry_Int_Tables_number 166
_symmetry_space_group_name_Hall '-R 3 2"'
_cell_length_a 8.6375
_cell_length_b 8.6375
_cell_length_c 12.3337
_cell_angle_alpha 90.00
_cell_angle_beta 90.00
_cell_angle_gamma 120.00
loop_
_atom_site_label
_atom_site_type_symbol
_atom_site_fract_x
_atom_site_fract_y
_atom_site_fract_z
Th1 Th 0.0000 0.0000 0.1592
Fe1 Fe 0.0000 0.0000 0.4050
Fe2 Fe 0.0000 0.2828 0.5000
Fe3 Fe 0.0000 0.5000 0.0000
Fe4 Fe 0.0032 0.5016 0.3427
H1 H 0.0000 0.5000 0.5000
```

Peak list (10 most intense, 10° ≤ 2θ ≤ 90°, sorted by position)
Position (°2θ), d (Å), intensity
20.6, 4.319, 21
30.0, 2.978, 67
36.0, 2.493, 46
37.8, 2.379, 28
41.8, 2.159, 67
42.4, 2.132, 100
43.4, 2.084, 23
44.0, 2.057, 41
61.1, 1.517, 29
62.4, 1.489, 21